(1)
Theoretical powder diffractogram of PrB2N3 for a wavelength of 1.5418 Å, from a DFT-relaxed cell (GGA-PBE, Alexandria).
Neutral-atom scattering factors, no anomalous dispersion.

Atomic structure:
```
PrB2N3
1.0
5.780 0.000 0.000
0.000 8.331 0.000
0.000 0.000 3.863
Pr B N
2 4 6
Direct
0.250 0.250 0.249 Pr
0.750 0.750 0.751 Pr
0.250 0.588 0.749 B
0.250 0.912 0.749 B
0.750 0.088 0.251 B
0.750 0.412 0.251 B
0.250 0.069 0.749 N
0.250 0.431 0.749 N
0.250 0.750 0.750 N
0.750 0.250 0.250 N
0.750 0.569 0.251 N
0.750 0.931 0.251 N
```

Most intense lines, 2θ = 5–70°, most intense first:
2θ/deg, I/Imax
18.7, 100
25.4, 69
35.3, 58
40.5, 39
21.3, 37
30.9, 35
40.0, 24
51.4, 22
37.9, 17
35.9, 16
52.4, 16
51.0, 15

(2)
Theoretical powder diffractogram of PrB2N2 for a wavelength of 1.5418 Å, from a DFT-relaxed cell (GGA-PBE, Alexandria).
Neutral-atom scattering factors, no anomalous dispersion.

Atomic structure:
```
PrB2N2
1.0
4.821 0.000 0.000
-2.411 4.175 0.000
0.000 0.000 2.809
Pr B N
1 2 2
Direct
0.000 0.000 0.000 Pr
0.333 0.667 0.500 B
0.667 0.333 0.500 B
0.333 0.667 0.000 N
0.667 0.333 0.000 N
```

Most intense lines, 2θ = 5–70°, most intense first:
2θ/deg, I/Imax
21.3, 100
37.3, 59
38.6, 59
49.8, 35
68.2, 23
54.8, 22
31.9, 21
43.3, 17
58.5, 15
67.3, 9
66.6, 3

(3)
Theoretical powder diffractogram of Pr3TmB2N6 for a wavelength of 1.5418 Å, from a DFT-relaxed cell (GGA-PBE, Alexandria).
Neutral-atom scattering factors, no anomalous dispersion.

Atomic structure:
```
Pr3TmB2N6
1.0
5.617 0.000 0.000
-2.809 4.865 0.000
0.000 0.000 6.372
Pr Tm B N
3 1 2 6
Direct
0.000 0.000 0.000 Pr
0.333 0.667 0.663 Pr
0.667 0.333 0.337 Pr
0.000 0.000 0.500 Tm
0.333 0.667 0.252 B
0.667 0.333 0.748 B
0.184 0.368 0.278 N
0.184 0.816 0.278 N
0.368 0.184 0.722 N
0.632 0.816 0.278 N
0.816 0.184 0.722 N
0.816 0.632 0.722 N
```

Most intense lines, 2θ = 5–70°, most intense first:
2θ/deg, I/Imax
31.9, 100
33.6, 95
47.0, 45
57.9, 38
23.0, 37
18.2, 30
13.9, 26
39.7, 23
56.8, 19
61.2, 17
66.6, 15
34.9, 13

(4)
Theoretical powder diffractogram of Pr3VB2N6 for a wavelength of 1.5418 Å, from a DFT-relaxed cell (GGA-PBE, Alexandria).
Neutral-atom scattering factors, no anomalous dispersion.

Atomic structure:
```
Pr3VB2N6
1.0
5.419 0.000 0.000
-2.710 4.693 0.000
0.000 0.000 6.237
Pr V B N
3 1 2 6
Direct
0.000 0.000 0.000 Pr
0.333 0.667 0.667 Pr
0.667 0.333 0.333 Pr
0.000 0.000 0.500 V
0.333 0.667 0.266 B
0.667 0.333 0.734 B
0.178 0.357 0.296 N
0.178 0.822 0.296 N
0.357 0.178 0.704 N
0.643 0.822 0.296 N
0.822 0.178 0.704 N
0.822 0.643 0.704 N
```

Most intense lines, 2θ = 5–70°, most intense first:
2θ/deg, I/Imax
23.7, 100
33.1, 87
34.5, 77
41.1, 44
48.6, 40
60.0, 30
53.7, 25
55.7, 24
59.0, 16
69.4, 14
62.8, 13
43.5, 12

(5)
Theoretical powder diffractogram of Pu3BN5 for a wavelength of 1.5418 Å, from a DFT-relaxed cell (GGA-PBE, Alexandria).
Neutral-atom scattering factors, no anomalous dispersion.

Atomic structure:
```
Pu3BN5
1.0
-3.180 3.180 5.085
3.180 -3.180 5.085
3.180 3.180 -5.085
Pu B N
6 2 10
Direct
0.177 0.677 0.854 Pu
0.250 0.250 0.000 Pu
0.323 0.177 0.500 Pu
0.677 0.823 0.500 Pu
0.750 0.750 0.000 Pu
0.823 0.323 0.146 Pu
0.250 0.750 0.500 B
0.750 0.250 0.500 B
0.000 0.000 0.000 N
0.013 0.789 0.500 N
0.211 0.711 0.224 N
0.289 0.513 0.500 N
0.487 0.987 0.776 N
0.500 0.500 0.000 N
0.513 0.013 0.224 N
0.711 0.487 0.500 N
0.789 0.289 0.776 N
0.987 0.211 0.500 N
```

Most intense lines, 2θ = 5–70°, most intense first:
2θ/deg, I/Imax
33.2, 100
32.7, 77
26.5, 59
41.4, 58
35.3, 38
45.1, 37
58.5, 29
64.9, 26
60.7, 23
17.4, 22
40.1, 21
55.5, 21

(6)
Theoretical powder diffractogram of RbB3N3 for a wavelength of 1.5418 Å, from a DFT-relaxed cell (GGA-PBE, Alexandria).
Neutral-atom scattering factors, no anomalous dispersion.

Atomic structure:
```
RbB3N3
1.0
4.845 0.000 0.000
0.000 4.845 0.000
0.000 0.000 4.845
Rb B N
2 6 6
Direct
0.000 0.000 0.000 Rb
0.500 0.500 0.500 Rb
0.000 0.250 0.500 B
0.000 0.750 0.500 B
0.250 0.500 0.000 B
0.500 0.000 0.250 B
0.500 0.000 0.750 B
0.750 0.500 0.000 B
0.000 0.500 0.250 N
0.000 0.500 0.750 N
0.250 0.000 0.500 N
0.500 0.250 0.000 N
0.500 0.750 0.000 N
0.750 0.000 0.500 N
```

Most intense lines, 2θ = 5–70°, most intense first:
2θ/deg, I/Imax
45.9, 100
26.0, 84
37.1, 48
60.4, 19
53.5, 13
66.9, 1
41.7, 1

(7)
Theoretical powder diffractogram of B6RhN6 for a wavelength of 1.5418 Å, from a DFT-relaxed cell (GGA-PBE, Alexandria).
Neutral-atom scattering factors, no anomalous dispersion.

Atomic structure:
```
B6RhN6
1.0
4.565 0.000 0.000
0.000 4.565 0.000
0.000 0.000 4.565
B Rh N
6 1 6
Direct
0.000 0.245 0.500 B
0.000 0.755 0.500 B
0.245 0.500 0.000 B
0.500 0.000 0.245 B
0.500 0.000 0.755 B
0.755 0.500 0.000 B
0.000 0.000 0.000 Rh
0.000 0.500 0.253 N
0.000 0.500 0.747 N
0.253 0.000 0.500 N
0.500 0.253 0.000 N
0.500 0.747 0.000 N
0.747 0.000 0.500 N
```

Most intense lines, 2θ = 5–70°, most intense first:
2θ/deg, I/Imax
19.4, 100
48.9, 62
44.4, 47
34.0, 32
39.5, 31
27.6, 26
60.9, 22
68.1, 12
64.6, 7
57.1, 5

(8)
Theoretical powder diffractogram of BTe2RuN for a wavelength of 1.5418 Å, from a DFT-relaxed cell (GGA-PBE, Alexandria).
Neutral-atom scattering factors, no anomalous dispersion.

Atomic structure:
```
BTe2RuN
1.0
5.368 0.000 0.000
0.000 5.368 0.000
0.000 0.000 2.849
B Te Ru N
1 2 1 1
Direct
0.000 0.000 0.000 B
0.000 0.500 0.000 Te
0.500 0.000 0.000 Te
0.500 0.500 0.500 Ru
0.000 0.000 0.500 N
```

Most intense lines, 2θ = 5–70°, most intense first:
2θ/deg, I/Imax
39.6, 100
33.4, 88
63.8, 47
47.9, 31
23.4, 22
16.5, 22
35.7, 10
46.5, 10
49.7, 8
31.4, 7
37.5, 6
65.5, 6